Theoretical XRD peak list
Compound: LiHfMg14O15
Radiation: CuKα
Structure: a DFT-relaxed cell (PBE, the Materials Project)
Lines closer than 0.1° are merged.

Cell and atoms:
abc: 4.2787 8.6197 8.6120
angles: 90.00 90.00 90.00
Space group Pmm2 (No. 25)
Unique sites:
Li: 0.0000 0.0000 0.0000 [1 per cell]
Hf: 0.0000 0.5000 0.9925 [1 per cell]
Mg: 0.0000 0.0000 0.4915 [1 per cell]
Mg: 0.0000 0.2408 0.2451 [2 per cell]
Mg: 0.0000 0.2425 0.7383 [2 per cell]
Mg: 0.0000 0.5000 0.4917 [1 per cell]
Mg: 0.5000 0.0000 0.2377 [1 per cell]
Mg: 0.5000 0.0000 0.7461 [1 per cell]
Mg: 0.5000 0.2335 0.9918 [2 per cell]
Mg: 0.5000 0.2473 0.4922 [2 per cell]
Mg: 0.5000 0.5000 0.2491 [1 per cell]
Mg: 0.5000 0.5000 0.7353 [1 per cell]
O: 0.0000 0.0000 0.2491 [1 per cell]
O: 0.0000 0.2530 0.4907 [2 per cell]
O: 0.0000 0.2564 0.9933 [2 per cell]
O: 0.0000 0.5000 0.2467 [1 per cell]
O: 0.0000 0.5000 0.7375 [1 per cell]
O: 0.5000 0.0000 0.4896 [1 per cell]
O: 0.5000 0.0000 0.9925 [1 per cell]
O: 0.5000 0.2512 0.2407 [2 per cell]
O: 0.5000 0.2535 0.7435 [2 per cell]
O: 0.5000 0.5000 0.4921 [1 per cell]
O: 0.5000 0.5000 0.9927 [1 per cell]

The 10 most intense peaks (10° ≤ 2θ ≤ 80°), by intensity:
2θ 10.27, intensity 100; 2θ 41.94, intensity 87; 2θ 14.54, intensity 53; 2θ 61.05, intensity 50; 2θ 42.24, intensity 43; 2θ 36.20, intensity 38; 2θ 23.21, intensity 36; 2θ 25.44, intensity 36; 2θ 31.24, intensity 30; 2θ 23.08, intensity 28



Theoretical XRD peak list
Compound: CrCuN6Cl5
Radiation: CuKα
Structure: a DFT-relaxed cell (PBE, the Materials Project)
Lines closer than 0.1° are merged.

Cell and atoms:
abc: 10.1356 10.1356 10.1356
angles: 90.00 90.00 90.00
Space group Pn-3m (No. 224, origin choice 2)
Unique sites:
Cr: 0.0000 0.0000 0.0000 [4 per cell]
Cu: 0.0000 0.0000 0.5000 [4 per cell]
N: 0.0962 0.0962 0.8818 [24 per cell]
Cl: 0.0000 0.2500 0.7500 [12 per cell]
Cl: 0.1174 0.1174 0.3826 [8 per cell]

The 10 most intense peaks (10° ≤ 2θ ≤ 80°), by intensity:
2θ 30.55, intensity 100; 2θ 17.50, intensity 75; 2θ 50.97, intensity 69; 2θ 26.38, intensity 52; 2θ 24.85, intensity 40; 2θ 60.60, intensity 34; 2θ 27.84, intensity 26; 2θ 21.48, intensity 24; 2θ 43.75, intensity 14; 2θ 54.31, intensity 12



Theoretical XRD peak list
Compound: NiGe3
Radiation: CuKα
Structure: a DFT-relaxed cell (PBE, the Materials Project)
Lines closer than 0.1° are merged.

Cell and atoms:
abc: 4.1075 4.1075 7.7025
angles: 90.00 90.00 90.00
Space group I4/mmm (No. 139)
Unique sites:
Ni: 0.0000 0.0000 0.0000 [2 per cell]
Ge: 0.0000 0.0000 0.5000 [2 per cell]
Ge: 0.0000 0.5000 0.2500 [4 per cell]

The 6 most intense peaks (10° ≤ 2θ ≤ 80°), by intensity:
2θ 38.83, intensity 100; 2θ 44.09, intensity 35; 2θ 77.56, intensity 25; 2θ 66.57, intensity 19; 2θ 47.20, intensity 14; 2θ 64.13, intensity 11



Theoretical XRD peak list
Compound: AgSnTe2
Radiation: CuKα
Structure: a DFT-relaxed cell (PBE, the Materials Project)
Lines closer than 0.1° are merged.

Cell and atoms:
abc: 4.3444 4.3444 6.0746
angles: 90.00 90.00 90.00
Space group P4/mmm (No. 123)
Unique sites:
Ag: 0.0000 0.0000 0.0000 [1 per cell]
Sn: 0.5000 0.5000 0.5000 [1 per cell]
Te: 0.0000 0.0000 0.5000 [1 per cell]
Te: 0.5000 0.5000 0.0000 [1 per cell]

The 10 most intense peaks (10° ≤ 2θ ≤ 80°), by intensity:
2θ 29.07, intensity 100; 2θ 41.82, intensity 74; 2θ 29.41, intensity 49; 2θ 51.74, intensity 40; 2θ 41.58, intensity 38; 2θ 76.03, intensity 25; 2θ 68.27, intensity 17; 2θ 68.45, intensity 17; 2θ 68.98, intensity 17; 2θ 60.25, intensity 12



Theoretical XRD peak list
Compound: Ba2Si
Radiation: CuKα
Structure: a DFT-relaxed cell (PBE, the Materials Project)
Lines closer than 0.1° are merged.

Cell and atoms:
abc: 8.5244 5.4188 10.1743
angles: 90.00 90.00 90.00
Space group Pnma (No. 62)
Unique sites:
Ba: 0.0206 0.2500 0.1697 [4 per cell]
Ba: 0.1445 0.2500 0.5829 [4 per cell]
Si: 0.2491 0.2500 0.8986 [4 per cell]

The 10 most intense peaks (10° ≤ 2θ ≤ 80°), by intensity:
2θ 26.20, intensity 100; 2θ 28.04, intensity 54; 2θ 26.61, intensity 39; 2θ 33.06, intensity 36; 2θ 31.11, intensity 27; 2θ 32.72, intensity 23; 2θ 51.05, intensity 22; 2θ 28.32, intensity 22; 2θ 21.30, intensity 17; 2θ 47.20, intensity 16



Theoretical XRD peak list
Compound: Cr2FeSe4
Radiation: CuKα
Structure: a DFT-relaxed cell (PBE, the Materials Project)
Lines closer than 0.1° are merged.

Cell and atoms:
abc: 12.9952 3.6929 6.3877
angles: 90.00 119.21 90.00
Space group C2/m (No. 12)
Unique sites:
Cr: 0.2443 0.0000 0.2607 [4 per cell]
Fe: 0.0000 0.5000 0.5000 [2 per cell]
Se: 0.1220 0.5000 0.2914 [4 per cell]
Se: 0.1303 0.0000 0.7952 [4 per cell]

The 10 most intense peaks (10° ≤ 2θ ≤ 80°), by intensity:
2θ 32.14, intensity 100; 2θ 49.39, intensity 48; 2θ 42.56, intensity 34; 2θ 42.68, intensity 34; 2θ 60.13, intensity 14; 2θ 32.22, intensity 13; 2θ 56.49, intensity 12; 2θ 56.65, intensity 9; 2θ 15.92, intensity 9; 2θ 67.16, intensity 8